For LaPm2PrDy4, a structure optimized by DFT (PBE) gives the theoretical X-ray powder pattern in this record (Cu Ka).
Neutral-atom scattering factors, no anomalous dispersion.

abc: 9.570 9.570 7.220
angles: 112.15 112.15 64.92
Sites, in units of the cell vectors:
La: 0.000 0.000 0.000
La: 0.246 0.246 0.747
Pm: 0.123 0.623 0.123
Pm: 0.499 0.499 0.498
Pm: 0.623 0.123 0.123
Pm: 0.747 0.747 0.247
Pr: 0.123 0.623 0.623
Pr: 0.623 0.123 0.623
Dy: 0.248 0.248 0.248
Dy: 0.375 0.871 0.372
Dy: 0.376 0.871 0.874
Dy: 0.501 0.501 0.001
Dy: 0.745 0.745 0.745
Dy: 0.871 0.375 0.372
Dy: 0.871 0.376 0.874
Dy: 0.998 0.998 0.498

Most intense lines, 10° ≤ 2θ ≤ 90°, in order of falling intensity:
| d_spacing | 2θ (°) | I_rel |
| --- | --- | --- |
| 2.954 | 30.3 | 1000 |
| 2.553 | 35.1 | 336 |
| 1.540 | 60.1 | 286 |
| 1.811 | 50.4 | 242 |
| 2.568 | 34.9 | 171 |
| 1.547 | 59.8 | 145 |